No. 1
# Ta3Si
Simulated powder X-ray diffraction pattern, Cu Kα (weighted mean of Kα1 and Kα2). Input: DFT lattice parameters and positions (PBE).
No peak broadening, texture or thermal motion is included.

Most intense lines, 2θ = 10–80°, by angle:
- 24.40 deg, d = 3.648 Å, I = 18
- 32.61 deg, d = 2.746 Å, I = 44
- 36.08 deg, d = 2.490 Å, I = 100
- 36.66 deg, d = 2.451 Å, I = 55
- 37.34 deg, d = 2.408 Å, I = 35
- 39.44 deg, d = 2.285 Å, I = 34
- 40.30 deg, d = 2.238 Å, I = 73
- 42.79 deg, d = 2.113 Å, I = 24
- 45.26 deg, d = 2.004 Å, I = 17
- 57.66 deg, d = 1.599 Å, I = 18
- 64.49 deg, d = 1.445 Å, I = 19
- 65.63 deg, d = 1.423 Å, I = 17

Structure:
a = 10.2169 Å, b = 10.2169 Å, c = 5.2121 Å
α = 90.00°, β = 90.00°, γ = 90.00°
Fractional positions:
Ta  0.0363  0.9369  0.2364
Ta  0.0631  0.5363  0.7364
Ta  0.1039  0.2688  0.0244
Ta  0.1496  0.8358  0.7193
Ta  0.1642  0.6496  0.2193
Ta  0.2312  0.1039  0.4756
Ta  0.2688  0.3961  0.4756
Ta  0.3358  0.8504  0.2193
Ta  0.3504  0.6642  0.7193
Ta  0.3961  0.2312  0.0244
Ta  0.4369  0.9637  0.7364
Ta  0.4637  0.5631  0.2364
Ta  0.5363  0.4369  0.7636
Ta  0.5631  0.0363  0.2636
Ta  0.6039  0.7688  0.9756
Ta  0.6496  0.3358  0.2807
Ta  0.6642  0.1496  0.7807
Ta  0.7312  0.6039  0.5244
Ta  0.7688  0.8961  0.5244
Ta  0.8358  0.3504  0.7807
Ta  0.8504  0.1642  0.2807
Ta  0.8961  0.7312  0.9756
Ta  0.9369  0.4637  0.2636
Ta  0.9637  0.0631  0.7636
Si  0.0451  0.2805  0.5303
Si  0.2195  0.0451  0.9697
Si  0.2805  0.4549  0.9697
Si  0.4549  0.2195  0.5303
Si  0.5451  0.7805  0.4697
Si  0.7195  0.5451  0.0303
Si  0.7805  0.9549  0.0303
Si  0.9549  0.7195  0.4697

***

No. 2
# Ta3SiTe6
Simulated powder X-ray diffraction pattern, Cu Kα (weighted mean of Kα1 and Kα2). Input: DFT lattice parameters and positions (PBE).
No peak broadening, texture or thermal motion is included.

Most intense lines, 2θ = 10–80°, by angle:
- 11.91 deg, d = 7.432 Å, I = 100
- 32.58 deg, d = 2.749 Å, I = 73
- 33.30 deg, d = 2.690 Å, I = 25
- 34.21 deg, d = 2.621 Å, I = 17
- 34.56 deg, d = 2.595 Å, I = 16
- 36.22 deg, d = 2.480 Å, I = 13
- 36.39 deg, d = 2.469 Å, I = 14
- 40.84 deg, d = 2.210 Å, I = 37
- 41.44 deg, d = 2.179 Å, I = 14
- 48.75 deg, d = 1.868 Å, I = 25
- 49.02 deg, d = 1.858 Å, I = 18
- 71.64 deg, d = 1.317 Å, I = 16

Structure:
a = 6.4069 Å, b = 14.8648 Å, c = 11.5660 Å
α = 90.00°, β = 90.00°, γ = 90.00°
Fractional positions:
Ta  0.0320  0.2500  0.1878
Ta  0.1672  0.7500  0.3353
Ta  0.1973  0.7500  0.0330
Ta  0.3027  0.2500  0.5330
Ta  0.3328  0.2500  0.8353
Ta  0.4680  0.7500  0.6878
Ta  0.5320  0.2500  0.3122
Ta  0.6672  0.7500  0.1647
Ta  0.6973  0.7500  0.4670
Ta  0.8027  0.2500  0.9670
Ta  0.8328  0.2500  0.6647
Ta  0.9680  0.7500  0.8122
Si  0.0753  0.7500  0.5750
Si  0.4247  0.2500  0.0750
Si  0.5753  0.7500  0.9250
Si  0.9247  0.2500  0.4250
Te  0.1448  0.1271  0.9971
Te  0.1448  0.3729  0.9971
Te  0.1506  0.1212  0.6822
Te  0.1506  0.3788  0.6822
Te  0.2041  0.1234  0.3437
Te  0.2041  0.3766  0.3437
Te  0.2959  0.6234  0.8437
Te  0.2959  0.8766  0.8437
Te  0.3494  0.6212  0.1822
Te  0.3494  0.8788  0.1822
Te  0.3552  0.6271  0.4971
Te  0.3552  0.8729  0.4971
Te  0.6448  0.1271  0.5029
Te  0.6448  0.3729  0.5029
Te  0.6506  0.1212  0.8178
Te  0.6506  0.3788  0.8178
Te  0.7041  0.1234  0.1563
Te  0.7041  0.3766  0.1563
Te  0.7959  0.6234  0.6563
Te  0.7959  0.8766  0.6563
Te  0.8494  0.6212  0.3178
Te  0.8494  0.8788  0.3178
Te  0.8552  0.6271  0.0029
Te  0.8552  0.8729  0.0029

***

No. 3
# Ta3V5Si2
Simulated powder X-ray diffraction pattern, Cu Kα (weighted mean of Kα1 and Kα2). Input: DFT lattice parameters and positions (PBE).
No peak broadening, texture or thermal motion is included.

Most intense lines, 2θ = 10–80°, by angle:
- 11.61 deg, d = 7.623 Å, I = 39
- 23.34 deg, d = 3.812 Å, I = 80
- 23.92 deg, d = 3.721 Å, I = 75
- 33.94 deg, d = 2.642 Å, I = 55
- 34.35 deg, d = 2.611 Å, I = 71
- 35.95 deg, d = 2.498 Å, I = 69
- 37.74 deg, d = 2.384 Å, I = 63
- 39.23 deg, d = 2.296 Å, I = 100
- 42.74 deg, d = 2.116 Å, I = 40
- 43.86 deg, d = 2.064 Å, I = 48
- 44.86 deg, d = 2.020 Å, I = 48
- 59.40 deg, d = 1.556 Å, I = 38

Structure:
a = 8.3589 Å, b = 8.3589 Å, c = 8.3589 Å
α = 110.45°, β = 81.20°, γ = 143.46°
Fractional positions:
Ta  0.1699  0.7334  0.9033
Ta  0.2500  0.2500  0.0000
Ta  0.3301  0.2334  0.5634
Ta  0.6699  0.7666  0.4366
Ta  0.7500  0.7500  0.0000
Ta  0.8301  0.2666  0.0967
V  0.0484  0.2500  0.7984
V  0.1500  0.4437  0.5937
V  0.2500  0.7500  0.5000
V  0.3500  0.9437  0.2937
V  0.4516  0.2500  0.2016
V  0.5484  0.7500  0.7984
V  0.6500  0.0563  0.7063
V  0.7500  0.2500  0.5000
V  0.8500  0.5563  0.4063
V  0.9516  0.7500  0.2016
Si  0.1080  0.2006  0.3086
Si  0.3920  0.7006  0.0925
Si  0.6080  0.2994  0.9075
Si  0.8920  0.7994  0.6914

***

No. 4
# Ta4VSi3
Simulated powder X-ray diffraction pattern, Cu Kα (weighted mean of Kα1 and Kα2). Input: DFT lattice parameters and positions (PBE).
No peak broadening, texture or thermal motion is included.

Most intense lines, 2θ = 10–80°, by angle:
- 25.31 deg, d = 3.519 Å, I = 31
- 26.90 deg, d = 3.314 Å, I = 48
- 36.18 deg, d = 2.483 Å, I = 44
- 37.27 deg, d = 2.413 Å, I = 92
- 40.56 deg, d = 2.224 Å, I = 45
- 41.60 deg, d = 2.171 Å, I = 100
- 44.68 deg, d = 2.028 Å, I = 35
- 65.68 deg, d = 1.422 Å, I = 17
- 65.80 deg, d = 1.419 Å, I = 18
- 66.43 deg, d = 1.407 Å, I = 21
- 68.78 deg, d = 1.365 Å, I = 23
- 78.04 deg, d = 1.224 Å, I = 17

Structure:
a = 7.4633 Å, b = 7.4633 Å, c = 7.4633 Å
α = 96.35°, β = 96.35°, γ = 141.15°
Fractional positions:
Ta  0.0782  0.7798  0.8580
Ta  0.2202  0.0782  0.2984
Ta  0.2798  0.5782  0.8580
Ta  0.4218  0.2798  0.7016
Ta  0.5782  0.7202  0.2984
Ta  0.7202  0.4218  0.1420
Ta  0.7798  0.9218  0.7016
Ta  0.9218  0.2202  0.1420
V  0.2500  0.7500  0.5000
V  0.7500  0.2500  0.5000
Si  0.1581  0.3419  0.5000
Si  0.2500  0.2500  0.0000
Si  0.3419  0.8419  0.1839
Si  0.6581  0.1581  0.8161
Si  0.7500  0.7500  0.0000
Si  0.8419  0.6581  0.5000